Starting from a cell relaxed with GGA-PBE, the powder diffractogram of KSmP3HO10 was calculated for copper Kα.
Intensities are scaled so that the largest is 100.

Structural model:
```
KSmP3HO10
1.0
7.042 0.000 0.000
1.039 7.810 0.000
2.470 2.042 8.051
K Sm P H O
2 2 6 2 20
Direct
0.209 0.226 0.036
0.791 0.774 0.964
0.226 0.131 0.511
0.774 0.869 0.489
0.148 0.543 0.636
0.327 0.736 0.812
0.330 0.810 0.342
0.670 0.190 0.658
0.673 0.264 0.188
0.852 0.457 0.364
0.314 0.711 0.076
0.686 0.289 0.924
0.043 0.345 0.339
0.135 0.928 0.372
0.142 0.346 0.669
0.195 0.896 0.756
0.254 0.657 0.005
0.278 0.569 0.753
0.282 0.608 0.449
0.415 0.800 0.164
0.451 0.246 0.247
0.466 0.874 0.422
0.534 0.126 0.578
0.549 0.754 0.753
0.585 0.200 0.836
0.718 0.392 0.551
0.722 0.431 0.247
0.746 0.343 0.995
0.805 0.104 0.244
0.858 0.654 0.331
0.865 0.072 0.628
0.957 0.655 0.661
```

Top 10 peaks for 5 to 70 degrees two-theta, by intensity:
hkl, d/Å, 2θ/deg, intensity
0 0 1, 8.051, 11.0, 100
1 2 2, 3.205, 27.8, 32
2 0 0, 3.369, 26.5, 27
2 1 0, 3.152, 28.3, 26
0 1 1, 6.349, 13.9, 23
2 0 2, 2.998, 29.8, 20
1 -2 0, 3.220, 27.7, 18
1 1 -1, 3.777, 23.6, 17
0 1 0, 7.570, 11.7, 16
0 1 -2, 3.239, 27.5, 14